Computed X-ray powder pattern of PmSmPa2N4 for Cu Ka, from a crystal structure in Alexandria, relaxed with PBE.
Neutral-atom scattering factors, no anomalous dispersion.

```
16
Lattice="5.034 0.000 0.000 0.000 5.034 0.000 0.000 0.000 9.941" Properties=species:S:1:pos:R:3 pbc="T T T"
Pm 0.000 0.000 0.000
Pm 2.517 2.517 4.970
Sm 0.000 2.517 2.485
Sm 2.517 0.000 7.456
Pa 0.000 0.000 4.970
Pa 0.000 2.517 7.456
Pa 2.517 0.000 2.485
Pa 2.517 2.517 0.000
N 0.000 0.000 2.636
N 0.000 0.000 7.305
N 0.000 2.517 5.117
N 0.000 2.517 9.795
N 2.517 0.000 0.146
N 2.517 0.000 4.824
N 2.517 2.517 2.334
N 2.517 2.517 7.607
```

The 8 most intense peaks (15° ≤ 2θ ≤ 90°), most intense first:
30.90 deg, I 100
35.67 deg, I 46
51.69 deg, I 32
61.13 deg, I 31
36.14 deg, I 22
64.39 deg, I 16
51.34 deg, I 16
61.76 deg, I 15



Computed X-ray powder pattern of TaSi2Ir for Cu Ka, from a crystal structure in Alexandria, relaxed with PBE.
Neutral-atom scattering factors, no anomalous dispersion.

```
4
Lattice="2.914 0.000 0.000 0.000 3.880 0.000 0.000 0.000 5.299" Properties=species:S:1:pos:R:3 pbc="T T T"
Ta 0.000 0.000 0.000
Si 1.457 1.940 1.261
Si 1.457 1.940 4.038
Ir 1.457 0.000 2.650
```

The 8 most intense peaks (15° ≤ 2θ ≤ 90°), most intense first:
42.37 deg, I 100
22.92 deg, I 84
35.14 deg, I 80
41.26 deg, I 70
59.87 deg, I 35
33.83 deg, I 32
66.41 deg, I 24
46.83 deg, I 24



Computed X-ray powder pattern of Pa2CuP3Ir4 for Cu Ka, from a crystal structure in Alexandria, relaxed with PBE.
Neutral-atom scattering factors, no anomalous dispersion.

```
10
Lattice="3.962 0.000 0.000 0.000 3.962 0.000 0.000 0.000 10.482" Properties=species:S:1:pos:R:3 pbc="T T T"
Pa 0.000 1.981 2.578
Pa 1.981 0.000 7.904
Cu 1.981 1.981 0.000
P 0.000 0.000 0.000
P 0.000 1.981 6.611
P 1.981 0.000 3.871
Ir 0.000 0.000 5.241
Ir 0.000 1.981 8.864
Ir 1.981 0.000 1.618
Ir 1.981 1.981 5.241
```

The 8 most intense peaks (15° ≤ 2θ ≤ 90°), most intense first:
36.36 deg, I 100
34.22 deg, I 43
45.80 deg, I 43
49.17 deg, I 29
33.10 deg, I 24
58.40 deg, I 23
78.49 deg, I 22
25.49 deg, I 21



Computed X-ray powder pattern of Na6ThF12 for Cu Ka, from a crystal structure in Alexandria, relaxed with PBE.
Neutral-atom scattering factors, no anomalous dispersion.

```
19
Lattice="-3.911 3.911 3.911 3.911 -3.911 3.911 3.911 3.911 -3.911" Properties=species:S:1:pos:R:3 pbc="T T T"
Na 3.911 0.000 1.312
Na 3.911 2.599 0.000
Na 1.312 3.911 0.000
Na 2.599 0.000 3.911
Na 0.000 1.312 3.911
Na 0.000 3.911 2.599
Th 0.000 0.000 0.000
F 3.911 -1.671 2.718
F 2.239 1.193 0.000
F 5.582 1.193 0.000
F 2.718 3.911 -1.671
F 1.193 0.000 2.239
F 0.000 2.239 1.193
F 3.911 1.671 2.718
F 2.718 3.911 1.671
F 1.193 0.000 5.582
F -1.671 2.718 3.911
F 1.671 2.718 3.911
F 0.000 5.582 1.193
```

The 8 most intense peaks (15° ≤ 2θ ≤ 90°), most intense first:
16.03 deg, I 100
43.28 deg, I 91
27.94 deg, I 60
22.74 deg, I 48
36.32 deg, I 30
60.34 deg, I 27
49.44 deg, I 26
74.83 deg, I 21